The following is a calculated PXRD pattern of Cs2PdSe8. It was derived from a DFT-relaxed cell (PBE, Alexandria), using Cu Ka.
No peak broadening, texture or thermal motion is included.

Cell and atoms:
```
data_Cs2PdSe8
_cell_length_a 15.381
_cell_length_b 15.381
_cell_length_c 13.520
_cell_angle_alpha 90.00
_cell_angle_beta 90.00
_cell_angle_gamma 90.00
_space_group_name_H-M_alt 'I 41/a c d'
_space_group_IT_number 142
loop_
_space_group_symop_operation_xyz
'x,y,z'
'-x,-y,-z'
'-y+1/4,x+3/4,z+1/4'
'y+1/4,-x+3/4,-z+1/4'
'-x+1/2,-y,z+1/2'
'x+1/2,y,-z+1/2'
'y+1/4,-x+1/4,z+3/4'
'-y+1/4,x+1/4,-z+3/4'
'x,-y,-z+1/2'
'-x,y,z+1/2'
'-y+1/4,-x+1/4,-z+1/4'
'y+1/4,x+1/4,z+1/4'
'-x+1/2,y,-z'
'x+1/2,-y,z'
'y+1/4,x+3/4,-z+3/4'
'-y+1/4,-x+3/4,z+3/4'
'x+1/2,y+1/2,z+1/2'
'-x+1/2,-y+1/2,-z+1/2'
'-y+3/4,x+1/4,z+3/4'
'y+3/4,-x+1/4,-z+3/4'
'-x,-y+1/2,z'
'x,y+1/2,-z'
'y+3/4,-x+3/4,z+1/4'
'-y+3/4,x+3/4,-z+1/4'
'x+1/2,-y+1/2,-z'
'-x+1/2,y+1/2,z'
'-y+3/4,-x+3/4,-z+3/4'
'y+3/4,x+3/4,z+3/4'
'-x,y+1/2,-z+1/2'
'x,-y+1/2,z+1/2'
'y+3/4,x+1/4,-z+1/4'
'-y+3/4,-x+1/4,z+1/4'
loop_
_atom_site_label
_atom_site_type_symbol
_atom_site_fract_x
_atom_site_fract_y
_atom_site_fract_z
Cs1 Cs 0.114 0.136 0.125
Pd1 Pd 0.000 0.250 0.375
Se1 Se 0.032 0.093 0.382
Se2 Se 0.090 0.006 0.839
```

Most intense lines, 2θ from 5° to 70°, by intensity:
2θ/deg	I_rel
26.37	100
32.50	88
21.85	84
32.03	67
15.43	38
11.51	33
50.57	32
29.79	28